No. 1
The following is a calculated X-ray powder pattern of Tb6Pr2NdY. It was derived from a crystal structure in Alexandria, relaxed with PBE, using Cu Kα, 1.54184 Å.
Neutral-atom scattering factors, no anomalous dispersion.

Structure:
```
data_Tb6Pr2NdY
_space_group_name_H-M_alt 'C 1 2/c 1'
_space_group_IT_number 15
_cell_length_a 9.099
_cell_length_b 15.213
_cell_length_c 9.819
_cell_angle_alpha 90.00
_cell_angle_beta 98.89
_cell_angle_gamma 90.00
loop_
_space_group_symop_operation_xyz
'x,y,z'
'-x,-y,-z'
'-x,y,-z+1/2'
'x,-y,z+1/2'
'x+1/2,y+1/2,z'
'-x+1/2,-y+1/2,-z'
'-x+1/2,y+1/2,-z+1/2'
'x+1/2,-y+1/2,z+1/2'
loop_
_atom_site_label
_atom_site_fract_x
_atom_site_fract_y
_atom_site_fract_z
Tb1 0.068 0.191 0.443
Tb2 0.099 0.394 0.620
Tb3 0.203 0.224 0.814
Pr1 0.245 0.051 0.042
Nd1 0.000 0.018 0.750
Y1 0.000 0.407 0.250
```

Top 10 peaks for 5° ≤ 2θ ≤ 70°, by angle:
index, Position (°2θ), I/Imax
1 3 2, 28.3, 573
0 2 3, 30.0, 580
3 1 -1, 30.4, 919
1 5 0, 31.0, 707
2 4 -1, 31.3, 495
2 2 2, 31.4, 1000
1 5 -1, 32.0, 277
1 3 -3, 33.1, 998
4 2 -4, 52.4, 218
4 0 4, 60.3, 214

---

No. 2
The following is a calculated X-ray powder pattern of DyGa5Co. It was derived from a crystal structure in Alexandria, relaxed with PBE, using Cu Kα, 1.54184 Å.
Neutral-atom scattering factors, no anomalous dispersion.

Structure:
```
data_DyGa5Co
_space_group_name_H-M_alt 'P 4/m m m'
_space_group_IT_number 123
_space_group_name_Hall '-P 4 2'
_cell_length_a 4.218
_cell_length_b 4.218
_cell_length_c 6.834
_cell_angle_alpha 90.00
_cell_angle_beta 90.00
_cell_angle_gamma 90.00
loop_
_atom_site_label
_atom_site_fract_x
_atom_site_fract_y
_atom_site_fract_z
Dy1 0.000 0.000 0.000
Ga1 0.000 0.500 0.310
Ga2 0.500 0.500 0.000
Co1 0.000 0.000 0.500
```

Top 10 peaks for 5° ≤ 2θ ≤ 70°, by angle:
index, Position (°2θ), I/Imax
1 0 0, 21.1, 227
1 1 1, 32.8, 528
1 0 2, 33.8, 137
0 0 3, 39.6, 193
1 1 2, 40.1, 1000
2 0 0, 42.9, 554
2 1 2, 55.7, 65
2 0 3, 59.8, 227
2 2 0, 62.3, 178
1 1 4, 62.7, 79

---

No. 3
The following is a calculated X-ray powder pattern of SmAl2H6. It was derived from a crystal structure in Alexandria, relaxed with PBE, using Cu Kα, 1.54184 Å.
Neutral-atom scattering factors, no anomalous dispersion.

Structure:
```
data_SmAl2H6
_space_group_name_H-M_alt 'F m -3 m'
_space_group_IT_number 225
_space_group_name_Hall '-F 4 2 3'
_cell_length_a 7.323
_cell_length_b 7.323
_cell_length_c 7.323
_cell_angle_alpha 90.00
_cell_angle_beta 90.00
_cell_angle_gamma 90.00
loop_
_atom_site_label
_atom_site_fract_x
_atom_site_fract_y
_atom_site_fract_z
Sm1 0.000 0.000 0.000
Al1 0.250 0.250 0.250
H1 0.000 0.000 0.289
```

Top 10 peaks for 5° ≤ 2θ ≤ 70°, by angle:
index, Position (°2θ), I/Imax
1 1 1, 21.0, 1000
2 0 0, 24.3, 234
2 2 0, 34.6, 798
3 1 1, 40.9, 561
2 2 2, 42.8, 59
4 0 0, 49.8, 152
3 3 1, 54.6, 246
4 2 0, 56.2, 94
4 2 2, 62.1, 293
3 3 3, 66.3, 176

---

No. 4
The following is a calculated X-ray powder pattern of HoSc5Tl6. It was derived from a crystal structure in Alexandria, relaxed with PBE, using Cu Kα, 1.54184 Å.
Neutral-atom scattering factors, no anomalous dispersion.

Structure:
```
data_HoSc5Tl6
_space_group_name_H-M_alt 'C 1 2/m 1'
_space_group_IT_number 12
_cell_length_a 8.888
_cell_length_b 15.437
_cell_length_c 5.138
_cell_angle_alpha 90.00
_cell_angle_beta 125.20
_cell_angle_gamma 90.00
loop_
_space_group_symop_operation_xyz
'x,y,z'
'-x,-y,-z'
'-x,y,-z'
'x,-y,z'
'x+1/2,y+1/2,z'
'-x+1/2,-y+1/2,-z'
'-x+1/2,y+1/2,-z'
'x+1/2,-y+1/2,z'
loop_
_atom_site_label
_atom_site_fract_x
_atom_site_fract_y
_atom_site_fract_z
Ho1 0.000 0.000 0.000
Sc1 0.000 0.165 0.500
Sc2 0.000 0.332 0.000
Sc3 0.000 0.500 0.500
Tl1 0.241 0.500 0.241
Tl2 0.246 0.330 0.745
```

Top 10 peaks for 5° ≤ 2θ ≤ 70°, by angle:
index, Position (°2θ), I/Imax
2 0 -1, 21.2, 13
2 2 -1, 24.1, 15
1 3 -1, 24.5, 314
2 0 -2, 34.9, 1000
0 0 2, 43.1, 99
2 6 -2, 50.2, 178
3 3 -3, 56.6, 115
5 3 -1, 56.7, 22
1 3 -3, 62.6, 273
5 3 -3, 62.7, 91

---

No. 5
The following is a calculated X-ray powder pattern of La2TbPmIn2. It was derived from a crystal structure in Alexandria, relaxed with PBE, using Cu Kα, 1.54184 Å.
Neutral-atom scattering factors, no anomalous dispersion.

Structure:
```
data_La2TbPmIn2
_space_group_name_H-M_alt 'P m c 21'
_space_group_IT_number 26
_cell_length_a 5.234
_cell_length_b 10.335
_cell_length_c 6.899
_cell_angle_alpha 90.00
_cell_angle_beta 90.00
_cell_angle_gamma 90.00
loop_
_space_group_symop_operation_xyz
'x,y,z'
'-x,-y,z+1/2'
'-x,y,z'
'x,-y,z+1/2'
loop_
_atom_site_label
_atom_site_fract_x
_atom_site_fract_y
_atom_site_fract_z
La1 0.000 0.057 0.000
La2 0.500 0.178 0.228
Tb1 0.000 0.311 0.598
Pm1 0.500 0.459 0.873
In1 0.000 0.381 0.136
In2 0.500 0.148 0.713
```

Top 10 peaks for 5° ≤ 2θ ≤ 70°, by angle:
index, Position (°2θ), I/Imax
1 2 1, 27.5, 132
0 3 1, 29.0, 156
1 3 0, 31.1, 1000
0 2 2, 31.2, 148
1 1 2, 32.3, 446
1 3 1, 33.7, 223
2 0 0, 34.3, 379
0 3 2, 36.9, 152
2 3 2, 51.2, 118
3 3 0, 59.4, 156

---

No. 6
The following is a calculated X-ray powder pattern of Hf3Cr2Ga6. It was derived from a crystal structure in Alexandria, relaxed with PBE, using Cu Kα, 1.54184 Å.
Neutral-atom scattering factors, no anomalous dispersion.

Structure:
```
data_Hf3Cr2Ga6
_space_group_name_H-M_alt 'P m m n'
_space_group_IT_number 59
_cell_length_a 5.322
_cell_length_b 8.720
_cell_length_c 7.722
_cell_angle_alpha 90.00
_cell_angle_beta 90.00
_cell_angle_gamma 90.00
loop_
_space_group_symop_operation_xyz
'x,y,z'
'-x,-y,-z'
'-x+1/2,-y+1/2,z'
'x+1/2,y+1/2,-z'
'x+1/2,-y,-z'
'-x+1/2,y,z'
'-x,y+1/2,-z'
'x,-y+1/2,z'
loop_
_atom_site_label
_atom_site_fract_x
_atom_site_fract_y
_atom_site_fract_z
Hf1 0.250 0.029 0.157
Hf2 0.250 0.750 0.712
Cr1 0.000 0.000 0.500
Ga1 0.010 0.750 0.036
Ga2 0.250 0.063 0.768
Ga3 0.250 0.250 0.440
Ga4 0.250 0.750 0.364
```

Top 10 peaks for 5° ≤ 2θ ≤ 70°, by angle:
index, Position (°2θ), I/Imax
1 2 1, 28.9, 321
2 0 0, 33.7, 266
1 3 0, 35.2, 377
1 2 2, 35.3, 294
1 0 3, 38.8, 304
0 2 3, 40.7, 515
2 0 2, 41.2, 378
0 4 0, 41.4, 1000
1 3 2, 42.5, 306
1 5 3, 67.2, 192

---

No. 7
The following is a calculated X-ray powder pattern of Cr2Ni6H. It was derived from a crystal structure in Alexandria, relaxed with PBE, using Cu Kα, 1.54184 Å.
Neutral-atom scattering factors, no anomalous dispersion.

Structure:
```
data_Cr2Ni6H
_space_group_name_H-M_alt 'I 4/m m m'
_space_group_IT_number 139
_space_group_name_Hall '-I 4 2'
_cell_length_a 5.084
_cell_length_b 5.084
_cell_length_c 7.149
_cell_angle_alpha 90.00
_cell_angle_beta 90.00
_cell_angle_gamma 90.00
loop_
_atom_site_label
_atom_site_fract_x
_atom_site_fract_y
_atom_site_fract_z
Cr1 0.000 0.500 0.250
Ni1 0.000 0.000 0.247
Ni2 0.247 0.247 0.000
H1 0.000 0.000 0.500
```

Top 4 peaks for 5° ≤ 2θ ≤ 70°, by angle:
index, Position (°2θ), I/Imax
1 1 0, 24.8, 5
2 0 2, 43.7, 1000
2 2 0, 50.8, 314
0 0 4, 51.1, 154

---

No. 8
The following is a calculated X-ray powder pattern of Na2GaBi. It was derived from a crystal structure in Alexandria, relaxed with PBE, using Cu Kα, 1.54184 Å.
Neutral-atom scattering factors, no anomalous dispersion.

Structure:
```
data_Na2GaBi
_space_group_name_H-M_alt 'C 1 2/m 1'
_space_group_IT_number 12
_cell_length_a 9.575
_cell_length_b 9.449
_cell_length_c 6.262
_cell_angle_alpha 90.00
_cell_angle_beta 130.69
_cell_angle_gamma 90.00
loop_
_space_group_symop_operation_xyz
'x,y,z'
'-x,-y,-z'
'-x,y,-z'
'x,-y,z'
'x+1/2,y+1/2,z'
'-x+1/2,-y+1/2,-z'
'-x+1/2,y+1/2,-z'
'x+1/2,-y+1/2,z'
loop_
_atom_site_label
_atom_site_fract_x
_atom_site_fract_y
_atom_site_fract_z
Na1 0.000 0.221 0.000
Na2 0.000 0.221 0.500
Ga1 0.180 0.500 0.431
Bi1 0.224 0.500 0.974
```

Top 10 peaks for 5° ≤ 2θ ≤ 70°, by angle:
index, Position (°2θ), I/Imax
0 2 0, 18.8, 1000
2 0 0, 24.5, 217
2 2 -1, 26.6, 356
2 0 -2, 28.5, 216
2 2 0, 31.1, 546
2 2 -2, 34.4, 536
0 0 2, 37.9, 165
0 4 0, 38.1, 354
4 2 -2, 42.7, 215
0 4 2, 54.9, 207

---

No. 9
The following is a calculated X-ray powder pattern of Zr4Te. It was derived from a crystal structure in Alexandria, relaxed with PBE, using Cu Kα, 1.54184 Å.
Neutral-atom scattering factors, no anomalous dispersion.

Structure:
```
data_Zr4Te
_space_group_name_H-M_alt 'I 41/a'
_space_group_IT_number 88
_cell_length_a 6.105
_cell_length_b 6.105
_cell_length_c 13.088
_cell_angle_alpha 90.00
_cell_angle_beta 90.00
_cell_angle_gamma 90.00
loop_
_space_group_symop_operation_xyz
'x,y,z'
'-x,-y,-z'
'-y+3/4,x+1/4,z+1/4'
'y+3/4,-x+1/4,-z+1/4'
'-x+1/2,-y,z+1/2'
'x+1/2,y,-z+1/2'
'y+3/4,-x+3/4,z+3/4'
'-y+3/4,x+3/4,-z+3/4'
'x+1/2,y+1/2,z+1/2'
'-x+1/2,-y+1/2,-z+1/2'
'-y+1/4,x+3/4,z+3/4'
'y+1/4,-x+3/4,-z+3/4'
'-x,-y+1/2,z'
'x,y+1/2,-z'
'y+1/4,-x+1/4,z+1/4'
'-y+1/4,x+1/4,-z+1/4'
loop_
_atom_site_label
_atom_site_fract_x
_atom_site_fract_y
_atom_site_fract_z
Zr1 0.141 0.030 0.201
Te1 0.000 0.250 0.625
```

Top 10 peaks for 5° ≤ 2θ ≤ 70°, by angle:
index, Position (°2θ), I/Imax
1 1 2, 24.7, 612
2 0 2, 32.4, 168
1 2 1, 33.5, 1000
1 1 4, 34.4, 835
1 0 5, 37.4, 390
2 1 3, 38.9, 847
2 0 4, 40.4, 273
3 0 1, 45.1, 288
1 3 6, 64.5, 304
3 2 5, 65.7, 202

---

No. 10
The following is a calculated X-ray powder pattern of La4Pm5Cd. It was derived from a crystal structure in Alexandria, relaxed with PBE, using Cu Kα, 1.54184 Å.
Neutral-atom scattering factors, no anomalous dispersion.

Structure:
```
data_La4Pm5Cd
_space_group_name_H-M_alt 'P 4/m m m'
_space_group_IT_number 123
_space_group_name_Hall '-P 4 2'
_cell_length_a 4.258
_cell_length_b 4.258
_cell_length_c 18.698
_cell_angle_alpha 90.00
_cell_angle_beta 90.00
_cell_angle_gamma 90.00
loop_
_atom_site_label
_atom_site_fract_x
_atom_site_fract_y
_atom_site_fract_z
La1 0.000 0.000 0.105
La2 0.000 0.000 0.300
Pm1 0.500 0.500 0.000
Pm2 0.500 0.500 0.208
Pm3 0.500 0.500 0.411
Cd1 0.000 0.000 0.500
```

Top 10 peaks for 5° ≤ 2θ ≤ 70°, by angle:
index, Position (°2θ), I/Imax
1 0 4, 28.4, 17
1 1 0, 29.7, 629
1 0 5, 31.8, 1000
2 0 0, 42.5, 237
0 0 10, 48.7, 73
2 1 5, 54.0, 446
1 1 10, 58.1, 157
2 2 0, 61.6, 78
2 0 10, 66.6, 109
3 1 0, 69.9, 107